This entry pairs a crystal structure of Ba3Zr2MnO9 with its computed X-ray diffraction stick pattern. Radiation: Cu Kα. Structure: the GGA+U geometry in Alexandria.

Atomic structure:
a = 5.8666 Å, b = 5.8666 Å, c = 7.1927 Å
α = 90.00°, β = 90.00°, γ = 120.00°
Fractional positions:
Ba 0.0000 0.0000 0.0000
Ba 0.3333 0.6667 0.6635
Ba 0.6667 0.3333 0.3365
Zr 0.3333 0.6667 0.1757
Zr 0.6667 0.3333 0.8243
Mn 0.0000 0.0000 0.5000
O 0.0000 0.5000 0.0000
O 0.1596 0.3191 0.3422
O 0.1596 0.8404 0.3422
O 0.3191 0.1596 0.6578
O 0.5000 0.0000 0.0000
O 0.5000 0.5000 0.0000
O 0.6809 0.8404 0.3422
O 0.8404 0.1596 0.6578
O 0.8404 0.6809 0.6578

Top 10 peaks for 2θ from 10° to 80°, by angle:
Position (°2θ), I_rel
21.41, 3.6
30.46, 100.0
37.54, 10.1
43.62, 32.0
49.09, 2.2
54.14, 39.2
63.40, 19.4
67.74, 1.3
71.96, 17.1
76.07, 3.1